Computed XRD peak list
Compound: Tm4Te5
Radiation: copper Kα
Structure: DFT lattice parameters and positions (GGA-PBE)
Kinematic intensities with the Lorentz-polarization factor, no thermal factor.

abc: 11.699 11.699 3.849
angles: 90.00 90.00 90.00
Space group I4/mmm (No. 139)
Unique sites:
1 Tm 0.157 0.157 0.000
2 Te 0.000 0.000 0.500
3 Te 0.000 0.305 0.500

Top 10 peaks for 10 to 80 degrees two-theta, low angle first:
hkl 1 1 0, 10.69°, intensity 11; hkl 3 3 0, 32.47°, intensity 47; hkl 3 0 1, 32.69°, intensity 100; hkl 4 1 1, 39.45°, intensity 9; hkl 6 0 0, 46.58°, intensity 15; hkl 0 0 2, 47.23°, intensity 10; hkl 6 3 1, 58.06°, intensity 29; hkl 3 3 2, 58.48°, intensity 18; hkl 6 0 2, 68.50°, intensity 9; hkl 7 4 1, 69.19°, intensity 8

Computed XRD peak list
Compound: Nd2Co19Si3
Radiation: copper Kα
Structure: DFT lattice parameters and positions (GGA-PBE)
Kinematic intensities with the Lorentz-polarization factor, no thermal factor.

abc: 11.553 9.777 6.304
angles: 90.00 122.72 90.00
Space group C2/m (No. 12)
Unique sites:
1 Nd 0.247 0.000 0.373
2 Co 0.000 0.000 0.500
3 Co 0.044 0.126 0.858
4 Co 0.044 0.376 0.730
5 Co 0.126 0.207 0.562
6 Co 0.126 0.295 0.190
7 Co 0.247 0.000 0.874
8 Si 0.000 0.500 0.000
9 Si 0.250 0.250 0.000

Top 10 peaks for 10 to 80 degrees two-theta, low angle first:
hkl 2 2 0, 25.85°, intensity 22; hkl 1 3 1, 36.11°, intensity 37; hkl 1 3 -2, 40.85°, intensity 43; hkl 3 3 -2, 40.91°, intensity 100; hkl 5 1 -2, 41.12°, intensity 38; hkl 2 4 0, 41.35°, intensity 60; hkl 4 2 0, 41.50°, intensity 69; hkl 2 0 -3, 44.06°, intensity 39; hkl 2 4 -2, 47.06°, intensity 23; hkl 1 5 -1, 48.78°, intensity 24